# CsRb2YCl6
Computed PXRD pattern, a wavelength of 1.5418 Å. Input: DFT lattice parameters and positions (GGA-PBE).

Most intense lines, 2θ from 15° to 90°, in order of falling intensity:
d [Å], Position (°2θ), intensity
4.176, 21.3, 100
2.953, 30.3, 69
2.088, 43.3, 46
2.411, 37.3, 43
1.579, 58.5, 28
1.868, 48.8, 26
1.321, 71.4, 17
1.158, 83.4, 15
1.705, 53.8, 15
1.206, 79.5, 12

Crystal structure
a = 8.3530 Å, b = 8.3530 Å, c = 8.3530 Å
α = 60.00°, β = 60.00°, γ = 60.00°
Sites, in units of the cell vectors:
Cs: 0.0000 0.0000 0.0000
Rb: 0.2500 0.2500 0.2500
Rb: 0.7500 0.7500 0.7500
Y: 0.5000 0.5000 0.5000
Cl: 0.2764 0.2764 0.7236
Cl: 0.2764 0.7236 0.2764
Cl: 0.2764 0.7236 0.7236
Cl: 0.7236 0.2764 0.2764
Cl: 0.7236 0.2764 0.7236
Cl: 0.7236 0.7236 0.2764



# La5Sn3C
Computed PXRD pattern, a wavelength of 1.5418 Å. Input: DFT lattice parameters and positions (GGA-PBE).

Most intense lines, 2θ from 15° to 90°, in order of falling intensity:
d [Å], Position (°2θ), intensity
2.848, 31.4, 100
2.792, 32.1, 54
3.129, 28.5, 34
1.849, 49.3, 29
1.492, 62.2, 25
3.176, 28.1, 18
2.759, 32.4, 17
2.257, 39.9, 16
3.439, 25.9, 15
1.655, 55.5, 15

Crystal structure
a = 9.5586 Å, b = 9.5586 Å, c = 6.8782 Å
α = 90.00°, β = 90.00°, γ = 120.00°
Sites, in units of the cell vectors:
La: 0.0000 0.2124 0.2500
La: 0.0000 0.7876 0.7500
La: 0.2124 0.0000 0.2500
La: 0.2124 0.2124 0.7500
La: 0.3333 0.6667 0.0000
La: 0.3333 0.6667 0.5000
La: 0.6667 0.3333 0.0000
La: 0.6667 0.3333 0.5000
La: 0.7876 0.0000 0.7500
La: 0.7876 0.7876 0.2500
Sn: 0.0000 0.4101 0.7500
Sn: 0.0000 0.5899 0.2500
Sn: 0.4101 0.0000 0.7500
Sn: 0.4101 0.4101 0.2500
Sn: 0.5899 0.0000 0.2500
Sn: 0.5899 0.5899 0.7500
C: 0.0000 0.0000 0.0000
C: 0.0000 0.0000 0.5000



# LiTi4O8
Computed PXRD pattern, a wavelength of 1.5418 Å. Input: DFT lattice parameters and positions (GGA-PBE).

Most intense lines, 2θ from 15° to 90°, in order of falling intensity:
d [Å], Position (°2θ), intensity
3.647, 24.4, 100
3.091, 28.9, 45
2.107, 42.9, 41
2.060, 43.9, 41
1.914, 47.5, 38
3.106, 28.7, 28
1.633, 56.3, 24
1.726, 53.0, 23
2.754, 32.5, 22
1.628, 56.5, 20

Crystal structure
a = 6.6050 Å, b = 6.6050 Å, c = 6.4934 Å
α = 107.05°, β = 107.05°, γ = 33.68°
Sites, in units of the cell vectors:
Li: 0.0000 0.0000 0.0000
Ti: 0.0200 0.3861 0.2926
Ti: 0.6139 0.9800 0.7074
Ti: 0.7117 0.0860 0.3109
Ti: 0.9140 0.2883 0.6891
O: 0.0854 0.4418 0.6514
O: 0.1904 0.5409 0.3118
O: 0.4591 0.8096 0.6882
O: 0.5582 0.9146 0.3486
O: 0.6877 0.0304 0.9986
O: 0.7838 0.1060 0.6563
O: 0.8940 0.2162 0.3437
O: 0.9696 0.3123 0.0014



# CaGa
Computed PXRD pattern, a wavelength of 1.5418 Å. Input: DFT lattice parameters and positions (GGA-PBE).

Most intense lines, 2θ from 15° to 90°, in order of falling intensity:
d [Å], Position (°2θ), intensity
2.371, 38.0, 100
2.909, 30.7, 100
2.422, 37.1, 64
5.784, 15.3, 42
3.857, 23.1, 40
2.806, 31.9, 39
2.215, 40.7, 37
1.563, 59.1, 31
2.045, 44.3, 28
1.532, 60.4, 21

Crystal structure
a = 6.1352 Å, b = 6.1352 Å, c = 4.4305 Å
α = 90.00°, β = 90.00°, γ = 141.05°
Sites, in units of the cell vectors:
Ca: 0.1465 0.8535 0.7500
Ca: 0.8535 0.1465 0.2500
Ga: 0.4319 0.5681 0.7500
Ga: 0.5681 0.4319 0.2500



# K5As3Pb3
Computed PXRD pattern, a wavelength of 1.5418 Å. Input: DFT lattice parameters and positions (GGA-PBE).

Most intense lines, 2θ from 15° to 90°, in order of falling intensity:
d [Å], Position (°2θ), intensity
5.631, 15.7, 100
3.163, 28.2, 98
2.772, 32.3, 83
2.210, 40.8, 72
2.578, 34.8, 72
3.094, 28.9, 69
2.545, 35.3, 62
5.874, 15.1, 52
3.065, 29.1, 51
2.622, 34.2, 49

Crystal structure
a = 19.7671 Å, b = 12.3473 Å, c = 6.6785 Å
α = 90.00°, β = 90.00°, γ = 90.00°
Sites, in units of the cell vectors:
K: 0.0000 0.0000 0.0000
K: 0.0000 0.5000 0.0000
K: 0.1031 0.2500 0.0480
K: 0.1303 0.7500 0.7388
K: 0.1788 0.5455 0.2708
K: 0.1788 0.9545 0.2708
K: 0.3212 0.0455 0.7708
K: 0.3212 0.4545 0.7708
K: 0.3697 0.2500 0.2388
K: 0.3969 0.7500 0.5480
K: 0.5000 0.0000 0.5000
K: 0.5000 0.5000 0.5000
K: 0.6031 0.2500 0.4520
K: 0.6303 0.7500 0.7612
K: 0.6788 0.5455 0.2292
K: 0.6788 0.9545 0.2292
K: 0.8212 0.0455 0.7292
K: 0.8212 0.4545 0.7292
K: 0.8697 0.2500 0.2612
K: 0.8969 0.7500 0.9520
As: 0.0440 0.7500 0.2407
As: 0.1531 0.0532 0.7652
As: 0.1531 0.4468 0.7652
As: 0.3469 0.5532 0.2652
As: 0.3469 0.9468 0.2652
As: 0.4560 0.2500 0.7407
As: 0.5440 0.7500 0.2593
As: 0.6531 0.0532 0.7348
As: 0.6531 0.4468 0.7348
As: 0.8469 0.5532 0.2348
As: 0.8469 0.9468 0.2348
As: 0.9560 0.2500 0.7593
Pb: 0.0439 0.1177 0.5206
Pb: 0.0439 0.3823 0.5206
Pb: 0.1936 0.2500 0.5609
Pb: 0.3064 0.7500 0.0609
Pb: 0.4561 0.6177 0.0206
Pb: 0.4561 0.8823 0.0206
Pb: 0.5439 0.1177 0.9794
Pb: 0.5439 0.3823 0.9794
Pb: 0.6936 0.2500 0.9391
Pb: 0.8064 0.7500 0.4391
Pb: 0.9561 0.6177 0.4794
Pb: 0.9561 0.8823 0.4794



# Ba4Y2Cu5PdO14
Computed PXRD pattern, a wavelength of 1.5418 Å. Input: DFT lattice parameters and positions (GGA-PBE).

Most intense lines, 2θ from 15° to 90°, in order of falling intensity:
d [Å], Position (°2θ), intensity
2.768, 32.3, 100
2.750, 32.6, 95
2.811, 31.8, 90
1.607, 57.3, 38
1.618, 56.9, 33
1.583, 58.3, 32
1.974, 46.0, 30
1.916, 47.5, 28
2.267, 39.8, 17
2.002, 45.3, 17

Crystal structure
a = 3.8319 Å, b = 3.9489 Å, c = 24.0214 Å
α = 90.00°, β = 90.00°, γ = 90.00°
Sites, in units of the cell vectors:
Ba: 0.0000 0.0000 0.0898
Ba: 0.0000 0.0000 0.4058
Ba: 0.0000 0.0000 0.5942
Ba: 0.0000 0.0000 0.9102
Y: 0.0000 0.0000 0.2484
Y: 0.0000 0.0000 0.7516
Cu: 0.5000 0.5000 0.0000
Cu: 0.5000 0.5000 0.1767
Cu: 0.5000 0.5000 0.3206
Cu: 0.5000 0.5000 0.6794
Cu: 0.5000 0.5000 0.8233
Pd: 0.5000 0.5000 0.5000
O: 0.0000 0.5000 0.1895
O: 0.0000 0.5000 0.3074
O: 0.0000 0.5000 0.6926
O: 0.0000 0.5000 0.8105
O: 0.5000 0.0000 0.0000
O: 0.5000 0.0000 0.1886
O: 0.5000 0.0000 0.3091
O: 0.5000 0.0000 0.5000
O: 0.5000 0.0000 0.6909
O: 0.5000 0.0000 0.8114
O: 0.5000 0.5000 0.0782
O: 0.5000 0.5000 0.4149
O: 0.5000 0.5000 0.5851
O: 0.5000 0.5000 0.9218



# Ba3LaNb3O12
Computed PXRD pattern, a wavelength of 1.5418 Å. Input: DFT lattice parameters and positions (GGA-PBE).

Most intense lines, 2θ from 15° to 90°, in order of falling intensity:
d [Å], Position (°2θ), intensity
3.138, 28.4, 100
2.916, 30.7, 83
2.136, 42.3, 55
1.723, 53.2, 35
1.861, 48.9, 21
1.381, 67.8, 18
1.458, 63.9, 17
1.683, 54.5, 17
1.569, 58.9, 16
1.322, 71.3, 15

Crystal structure
a = 9.9322 Å, b = 9.9322 Å, c = 9.9322 Å
α = 34.14°, β = 34.14°, γ = 34.14°
Sites, in units of the cell vectors:
Ba: 0.0000 0.0000 0.0000
Ba: 0.1574 0.1574 0.1574
Ba: 0.5783 0.5783 0.5783
La: 0.4347 0.4347 0.4347
Nb: 0.2898 0.2898 0.2898
Nb: 0.7138 0.7138 0.7138
Nb: 0.8646 0.8646 0.8646
O: 0.9996 0.4929 0.4929
O: 0.0797 0.0797 0.5761
O: 0.0797 0.5761 0.0797
O: 0.1632 0.6631 0.6631
O: 0.4121 0.9105 0.9105
O: 0.4929 0.9996 0.4929
O: 0.4929 0.4929 0.9996
O: 0.5761 0.0797 0.0797
O: 0.6631 0.1632 0.6631
O: 0.6631 0.6631 0.1632
O: 0.9105 0.4121 0.9105
O: 0.9105 0.9105 0.4121